(1)
The following is a calculated powder X-ray diffraction pattern of CrN2. It was derived from a cell relaxed with PBE, using Cu Kα X-rays.

Structural model:
```
data_CrN2
_cell_length_a 5.168
_cell_length_b 7.514
_cell_length_c 7.564
_cell_angle_alpha 113.74
_cell_angle_beta 102.58
_cell_angle_gamma 102.81
_symmetry_space_group_name_H-M 'P 1'
_symmetry_Int_Tables_number 1
_symmetry_space_group_name_Hall 'P 1'
loop_
_atom_site_label
_atom_site_type_symbol
_atom_site_fract_x
_atom_site_fract_y
_atom_site_fract_z
Cr1 Cr 0.000 0.000 0.000
Cr2 Cr 0.003 0.244 0.723
Cr3 Cr 0.632 0.487 0.708
Cr4 Cr 0.635 0.144 0.313
N1 N 0.104 0.126 0.864
N2 N 0.286 0.988 0.155
N3 N 0.300 0.396 0.715
N4 N 0.619 0.388 0.453
N5 N 0.761 0.755 0.830
N6 N 0.788 0.053 0.470
N7 N 0.836 0.135 0.157
N8 N 0.842 0.410 0.853
```

Most intense lines, 10 to 80 degrees two-theta, most intense first:
2θ (°), d/Å, I_rel, index
14.03, 6.313, 100, 0 1 -1
13.72, 6.453, 94, 0 1 0
23.48, 3.788, 44, -1 1 1
19.03, 4.665, 43, 1 0 -1
23.56, 3.775, 34, 1 1 -1
18.75, 4.732, 29, 1 0 0
13.62, 6.502, 27, 0 0 1
34.06, 2.632, 21, 1 -2 2

***

(2)
The following is a calculated powder X-ray diffraction pattern of SbPbIO2. It was derived from a cell relaxed with PBE, using Cu Kα X-rays.

Structural model:
```
data_SbPbIO2
_cell_length_a 3.986
_cell_length_b 3.986
_cell_length_c 13.772
_cell_angle_alpha 90.00
_cell_angle_beta 90.00
_cell_angle_gamma 90.00
_symmetry_space_group_name_H-M 'I 4 m m'
_symmetry_Int_Tables_number 107
_symmetry_space_group_name_Hall 'I 4 -2'
loop_
_atom_site_label
_atom_site_type_symbol
_atom_site_fract_x
_atom_site_fract_y
_atom_site_fract_z
Sb1 Sb 0.000 0.000 0.000
Pb1 Pb 0.000 0.000 0.324
I1 I 0.000 0.000 0.672
O1 O 0.000 0.500 0.432
```

Most intense lines, 10 to 80 degrees two-theta, most intense first:
2θ (°), d/Å, I_rel, index
29.68, 3.010, 100, 1 0 3
31.75, 2.819, 36, 1 1 0
55.28, 1.662, 35, 2 1 3
51.34, 1.780, 23, 1 1 6
45.51, 1.993, 18, 2 0 0
61.63, 1.505, 11, 2 0 6
39.25, 2.295, 10, 0 0 6
65.32, 1.429, 9, 1 0 9

***

(3)
The following is a calculated powder X-ray diffraction pattern of KLiO. It was derived from a cell relaxed with PBE, using Cu Kα X-rays.

Structural model:
```
data_KLiO
_cell_length_a 8.811
_cell_length_b 6.466
_cell_length_c 6.500
_cell_angle_alpha 90.00
_cell_angle_beta 90.00
_cell_angle_gamma 90.00
_symmetry_space_group_name_H-M 'C m c e'
_symmetry_Int_Tables_number 64
_symmetry_space_group_name_Hall '-C 2ac 2'
loop_
_atom_site_label
_atom_site_type_symbol
_atom_site_fract_x
_atom_site_fract_y
_atom_site_fract_z
K1 K 0.176 0.000 0.000
Li1 Li 0.000 0.125 0.374
O1 O 0.000 0.170 0.667
```

Most intense lines, 10 to 80 degrees two-theta, most intense first:
2θ (°), d/Å, I_rel, index
36.33, 2.473, 100, 3 1 1
39.31, 2.292, 36, 0 2 2
34.41, 2.606, 30, 2 2 0
34.29, 2.615, 29, 2 0 2
27.44, 3.250, 26, 0 0 2
27.59, 3.233, 25, 0 2 0
21.86, 4.067, 25, 1 1 1
45.33, 2.001, 19, 1 1 3